No. 1
Theoretical X-ray diffraction stick pattern of Ac3Tl3Pb for CuKα, from a GGA-PBE-relaxed structure.
Peak positions follow from Bragg's law for the DFT cell and can differ from measured ones.

Cell and atoms:
```
Ac3Tl3Pb
1.0
6.3337 -2.5011 0.0000
6.3337 2.5011 0.0000
-4.7633 0.0000 15.6683
Ac Tl Pb
6 6 2
direct
0.0081 0.0081 0.3768 Ac
0.1121 0.1121 0.9279 Ac
0.2206 0.2206 0.2225 Ac
0.7794 0.7794 0.7775 Ac
0.8879 0.8879 0.0721 Ac
0.9919 0.9919 0.6232 Ac
0.3605 0.3605 0.4573 Tl
0.3918 0.3918 0.9240 Tl
0.4885 0.4885 0.2204 Tl
0.5115 0.5115 0.7796 Tl
0.6082 0.6082 0.0760 Tl
0.6395 0.6395 0.5427 Tl
0.2854 0.2854 0.6287 Pb
0.7146 0.7146 0.3713 Pb
```

Principal peaks in the range 2θ = 10–90°, sorted by position:
2theta	d [Å]	I/Imax
27.14	3.286	80.2
28.17	3.167	100.0
28.33	3.150	55.7
32.23	2.777	58.6
33.02	2.713	81.2
35.91	2.501	71.3

No. 2
Theoretical X-ray diffraction stick pattern of Ac3TlPb2 for CuKα, from a GGA-PBE-relaxed structure.
Peak positions follow from Bragg's law for the DFT cell and can differ from measured ones.

Cell and atoms:
```
Ac3TlPb2
1.0
9.1105 -3.4931 0.0000
9.1105 3.4931 0.0000
-1.4994 0.0000 6.7814
Ac Tl Pb
6 2 4
direct
0.1431 0.8569 0.7500 Ac
0.2112 0.4430 0.3864 Ac
0.4430 0.2112 0.8864 Ac
0.5570 0.7888 0.1136 Ac
0.7888 0.5570 0.6136 Ac
0.8569 0.1431 0.2500 Ac
0.3633 0.6367 0.2500 Tl
0.6367 0.3633 0.7500 Tl
0.0500 0.2674 0.0523 Pb
0.2674 0.0500 0.5523 Pb
0.7326 0.9500 0.4477 Pb
0.9500 0.7326 0.9477 Pb
```

Principal peaks in the range 2θ = 10–90°, sorted by position:
2theta	d [Å]	I/Imax
28.75	3.105	52.3
29.48	3.030	68.8
30.15	2.964	100.0
31.44	2.846	40.4
33.52	2.673	34.3
61.64	1.505	23.9

No. 3
Theoretical X-ray diffraction stick pattern of Ac2Tl2Pb3 for CuKα, from a GGA-PBE-relaxed structure.
Peak positions follow from Bragg's law for the DFT cell and can differ from measured ones.

Cell and atoms:
```
Ac2Tl2Pb3
1.0
12.1744 0.0000 0.0000
0.0000 5.1200 0.0000
-1.1334 0.0000 7.4366
Ac Tl Pb
4 4 6
direct
0.1031 0.0000 0.2922 Ac
0.3969 0.5000 0.7078 Ac
0.6031 0.5000 0.2922 Ac
0.8969 0.0000 0.7078 Ac
0.1153 0.5000 0.6058 Tl
0.3847 0.0000 0.3942 Tl
0.6153 0.0000 0.6058 Tl
0.8847 0.5000 0.3942 Tl
0.0000 0.5000 0.0000 Pb
0.2006 0.0000 0.8471 Pb
0.2994 0.5000 0.1529 Pb
0.5000 0.0000 0.0000 Pb
0.7006 0.5000 0.8471 Pb
0.7994 0.0000 0.1529 Pb
```

Principal peaks in the range 2θ = 10–90°, sorted by position:
2theta	d [Å]	I/Imax
29.72	3.006	100.0
30.32	2.948	32.3
32.08	2.790	72.8
35.05	2.560	35.9
47.01	1.933	19.8
60.99	1.519	19.4

No. 4
Theoretical X-ray diffraction stick pattern of Ac3TlPb2 for CuKα, from a GGA-PBE-relaxed structure.
Peak positions follow from Bragg's law for the DFT cell and can differ from measured ones.

Cell and atoms:
```
Ac3TlPb2
1.0
13.5851 0.0000 0.0000
0.0000 5.0739 0.0000
0.0000 0.0000 13.0613
Ac Tl Pb
12 4 8
direct
0.0408 0.2500 0.1262 Ac
0.1316 0.7500 0.5660 Ac
0.2079 0.2500 0.8084 Ac
0.2921 0.7500 0.3084 Ac
0.3684 0.2500 0.0660 Ac
0.4592 0.7500 0.6262 Ac
0.5408 0.2500 0.3738 Ac
0.6316 0.7500 0.9340 Ac
0.7079 0.2500 0.6916 Ac
0.7921 0.7500 0.1916 Ac
0.8684 0.2500 0.4340 Ac
0.9592 0.7500 0.8738 Ac
0.1445 0.2500 0.3606 Tl
0.3555 0.7500 0.8606 Tl
0.6445 0.2500 0.1394 Tl
0.8555 0.7500 0.6394 Tl
0.0059 0.7500 0.3220 Pb
0.1819 0.7500 0.0260 Pb
0.3181 0.2500 0.5260 Pb
0.4941 0.2500 0.8220 Pb
0.5059 0.7500 0.1780 Pb
0.6819 0.7500 0.4740 Pb
0.8181 0.2500 0.9740 Pb
0.9941 0.2500 0.6780 Pb
```

Principal peaks in the range 2θ = 10–90°, sorted by position:
2theta	d [Å]	I/Imax
25.82	3.451	37.0
26.99	3.304	25.9
28.11	3.175	27.5
29.77	3.001	100.0
35.38	2.537	40.9
39.83	2.263	23.7

No. 5
Theoretical X-ray diffraction stick pattern of Ac8Tl3Pb2 for CuKα, from a GGA-PBE-relaxed structure.
Peak positions follow from Bragg's law for the DFT cell and can differ from measured ones.

Cell and atoms:
```
Ac8Tl3Pb2
1.0
5.7185 -8.1708 0.0000
5.7185 8.1708 0.0000
0.0000 0.0000 5.7090
Ac Tl Pb
8 3 2
direct
0.1197 0.8803 0.0000 Ac
0.1256 0.3734 0.5000 Ac
0.3706 0.6294 0.0000 Ac
0.3734 0.1256 0.5000 Ac
0.6266 0.8744 0.5000 Ac
0.6294 0.3706 0.0000 Ac
0.8744 0.6266 0.5000 Ac
0.8803 0.1197 0.0000 Ac
0.2496 0.2496 0.0000 Tl
0.5000 0.5000 0.5000 Tl
0.7504 0.7504 0.0000 Tl
0.2434 0.7566 0.5000 Pb
0.7566 0.2434 0.5000 Pb
```

Principal peaks in the range 2θ = 10–90°, sorted by position:
2theta	d [Å]	I/Imax
18.95	4.683	16.0
31.13	2.873	100.0
31.31	2.857	49.7
44.87	2.020	18.9
55.28	1.662	19.9
55.62	1.652	40.3

No. 6
Theoretical X-ray diffraction stick pattern of Ac4Tl5Pb for CuKα, from a GGA-PBE-relaxed structure.
Peak positions follow from Bragg's law for the DFT cell and can differ from measured ones.

Cell and atoms:
```
Ac4Tl5Pb
1.0
8.8090 -2.8372 0.0000
8.8090 2.8372 0.0000
-1.7869 0.0000 6.8754
Ac Tl Pb
4 5 1
direct
0.0874 0.0874 0.3401 Ac
0.3098 0.3098 0.1963 Ac
0.6902 0.6902 0.8037 Ac
0.9126 0.9126 0.6599 Ac
0.1058 0.1058 0.8796 Tl
0.2884 0.2884 0.6834 Tl
0.5000 0.5000 0.0000 Tl
0.7116 0.7116 0.3166 Tl
0.8942 0.8942 0.1204 Tl
0.5000 0.5000 0.5000 Pb
```

Principal peaks in the range 2θ = 10–90°, sorted by position:
2theta	d [Å]	I/Imax
30.38	2.942	45.0
30.58	2.923	100.0
31.09	2.876	94.8
31.53	2.837	50.3
44.36	2.042	32.6
55.88	1.645	22.9

No. 7
Theoretical X-ray diffraction stick pattern of AcTm4Pb5 for CuKα, from a GGA-PBE-relaxed structure.
Peak positions follow from Bragg's law for the DFT cell and can differ from measured ones.

Cell and atoms:
```
AcTm4Pb5
1.0
-5.0190 5.0190 3.1982
5.0190 -5.0190 3.1982
5.0190 5.0190 -3.1982
Ac Tm Pb
1 4 5
direct
0.0000 0.0000 0.0000 Ac
0.2159 0.6162 0.8322 Tm
0.3838 0.2159 0.5997 Tm
0.6162 0.7841 0.4003 Tm
0.7841 0.3838 0.1678 Tm
0.0911 0.3296 0.4207 Pb
0.3296 0.9089 0.2385 Pb
0.5000 0.5000 0.0000 Pb
0.6704 0.0911 0.7615 Pb
0.9089 0.6704 0.5793 Pb
```

Principal peaks in the range 2θ = 10–90°, sorted by position:
2theta	d [Å]	I/Imax
27.90	3.198	56.9
28.11	3.174	100.0
40.02	2.253	79.3
40.18	2.245	34.6
49.62	1.837	38.1
65.34	1.428	19.2

No. 8
Theoretical X-ray diffraction stick pattern of Ac3TmPb4 for CuKα, from a GGA-PBE-relaxed structure.
Peak positions follow from Bragg's law for the DFT cell and can differ from measured ones.

Cell and atoms:
```
Ac3TmPb4
1.0
11.8380 0.0000 0.0000
0.0000 6.8456 0.0000
0.0000 0.0000 6.8471
Ac Tm Pb
6 2 8
direct
0.0000 0.0409 0.0000 Ac
0.2497 0.2670 0.2957 Ac
0.2503 0.7330 0.7957 Ac
0.5000 0.9591 0.5000 Ac
0.7503 0.2670 0.2957 Ac
0.7497 0.7330 0.7957 Ac
0.0000 0.5237 0.5192 Tm
0.5000 0.4763 0.0192 Tm
0.0000 0.0153 0.5123 Pb
0.0000 0.5274 0.0251 Pb
0.2185 0.7664 0.2981 Pb
0.2815 0.2336 0.7981 Pb
0.5000 0.4726 0.5251 Pb
0.5000 0.9847 0.0123 Pb
0.7185 0.2336 0.7981 Pb
0.7815 0.7664 0.2981 Pb
```

Principal peaks in the range 2θ = 10–90°, sorted by position:
2theta	d [Å]	I/Imax
30.17	2.963	100.0
37.15	2.420	24.5
48.59	1.874	20.6
53.59	1.710	20.1
62.70	1.482	25.5
79.18	1.210	8.0